Structure and simulated powder diffraction line list of CsRhSe4 (a PBE-relaxed structure; CuKα).
Peak positions follow from Bragg's law for the DFT cell and can differ from measured ones.

Cell and atoms:
```
data_CsRhSe4
_chemical_formula_sum 'Cs4 Rh4 Se16'
_cell_length_a 7.5693
_cell_length_b 13.8598
_cell_length_c 7.5529
_cell_angle_alpha 90.00
_cell_angle_beta 98.34
_cell_angle_gamma 90.00
_space_group_name_H-M_alt 'C 1 2/c 1'
_space_group_IT_number 15
loop_
_space_group_symop_operation_xyz
'x,y,z'
'-x,-y,-z'
'-x,y,-z+1/2'
'x,-y,z+1/2'
'x+1/2,y+1/2,z'
'-x+1/2,-y+1/2,-z'
'-x+1/2,y+1/2,-z+1/2'
'x+1/2,-y+1/2,z+1/2'
loop_
_atom_site_label
_atom_site_type_symbol
_atom_site_fract_x
_atom_site_fract_y
_atom_site_fract_z
Cs1 Cs 0.0000 0.1622 0.2500
Rh1 Rh 0.0000 0.4908 0.2500
Se1 Se 0.0345 0.3842 0.9822
Se2 Se 0.2050 0.0817 0.8067
```

Most intense lines, 2θ from 5° to 70°, sorted by position:
| hkl | d [Å] | 2θ (°) | I_rel |
| --- | --- | --- | --- |
| 0 2 0 | 6.930 | 12.8 | 91 |
| 1 1 0 | 6.589 | 13.4 | 100 |
| 1 1 1 | 4.656 | 19.1 | 59 |
| 2 0 0 | 3.741 | 23.8 | 98 |
| 1 1 -2 | 3.444 | 25.9 | 55 |
| 2 2 -1 | 3.167 | 28.2 | 91 |
| 0 4 1 | 3.143 | 28.4 | 82 |
| 1 3 -2 | 2.818 | 31.8 | 90 |
| 1 3 2 | 2.611 | 34.3 | 80 |
| 3 3 -2 | 2.010 | 45.1 | 52 |
| 4 0 0 | 1.874 | 48.6 | 46 |
| 3 3 2 | 1.797 | 50.8 | 48 |